Calculated powder X-ray diffraction pattern
Compound: TlCu2PbCl6
Radiation: Cu Kα X-rays
Structure: a DFT-relaxed cell (GGA-PBE, Alexandria)

Crystal structure
a b c (Å): 6.8592 7.1165 8.4802
angles (deg): 91.88 113.22 117.61
Fractional coordinates of all 10 atoms:
Tl (0.0000, 0.0000, 0.0000)
Cu (0.4898, 0.2339, 0.7230)
Cu (0.5123, 0.7647, 0.2768)
Pb (0.9998, 0.4985, 0.4997)
Cl (0.1801, 0.2587, 0.7294)
Cl (0.2220, 0.4552, 0.2814)
Cl (0.4524, 0.9123, 0.7386)
Cl (0.5486, 0.0848, 0.2560)
Cl (0.7851, 0.5441, 0.7239)
Cl (0.8175, 0.7346, 0.2670)

The 12 most intense peaks (10 to 90 degrees two-theta), sorted by position:
| Position (°2θ) | d (Å) | intensity |
| --- | --- | --- |
| 16.1 | 5.491 | 37 |
| 16.4 | 5.389 | 30 |
| 21.1 | 4.213 | 100 |
| 21.5 | 4.125 | 93 |
| 21.7 | 4.097 | 91 |
| 24.6 | 3.617 | 37 |
| 25.1 | 3.551 | 36 |
| 26.0 | 3.428 | 42 |
| 32.6 | 2.746 | 29 |
| 34.2 | 2.625 | 40 |
| 34.9 | 2.574 | 39 |
| 43.0 | 2.103 | 39 |